Theoretical XRD peak list
Compound: Ca3FeN3
Radiation: CuKα
Structure: the PBE geometry in the Materials Project
No peak broadening, texture or thermal motion is included.

Largest 12 diffraction maxima, by angle, 10° ≤ 2θ ≤ 80°:
hkl 1 0 0, 14.17°, I 47; hkl 1 0 1, 22.83°, I 36; hkl 2 0 0, 28.55°, I 28; hkl 1 1 1, 30.59°, I 47; hkl 2 0 1, 33.86°, I 100; hkl 0 0 2, 36.07°, I 71; hkl 1 2 0, 38.08°, I 53; hkl 1 2 1, 42.33°, I 24; hkl 3 0 0, 43.42°, I 35; hkl 1 2 2, 53.46°, I 34; hkl 3 0 2, 57.68°, I 28; hkl 2 3 1, 68.01°, I 21

Crystal structure
Cell: 7.2197 7.2197 4.9797 Å, 90.00 90.00 120.00°
Space group P6_3/m (No. 176)
One atom of each set of equivalent atoms:
Ca: 0.0849 0.3597 0.2500
Fe: 0.3333 0.6667 0.7500
N: 0.1046 0.4100 0.7500